Structure and computed powder XRD pattern of KMgAg2SbS4 (the PBE geometry in the Materials Project; copper Kα).
Peak positions follow from Bragg's law for the DFT cell and can differ from measured ones.

Main lines, in order of rising 2θ (10 to 90 degrees two-theta):
(hkl), d [Å], Position (°2θ), I/Imax
0 0 1, 7.486, 11.8, 640
1 0 0, 5.461, 16.2, 890
0 1 -1, 4.335, 20.5, 1000
1 0 -1, 4.225, 21.0, 491
1 1 -1, 3.999, 22.2, 504
1 1 2, 3.396, 26.2, 638
1 -1 0, 3.286, 27.1, 523
2 1 1, 3.014, 29.6, 547
1 -1 1, 3.002, 29.8, 469
2 2 0, 2.676, 33.5, 541
0 1 3, 2.388, 37.7, 387
0 3 0, 1.917, 47.4, 368

Structure:
```
data_KMgAg2SbS4
_symmetry_space_group_name_H-M 'P 1'
_symmetry_Int_Tables_number 1
_cell_length_a 6.2098
_cell_length_b 6.5504
_cell_length_c 7.6350
_cell_angle_alpha 80.03
_cell_angle_beta 80.58
_cell_angle_gamma 62.06
loop_
_symmetry_equiv_pos_as_xyz
'x,y,z'
loop_
_atom_site_label
_atom_site_type_symbol
_atom_site_fract_x
_atom_site_fract_y
_atom_site_fract_z
_atom_site_occupancy
K1 K 0.0000 0.0000 0.0000 1
Mg1 Mg 0.8453 0.6515 0.4625 1
Ag1 Ag 0.3617 0.0443 0.3604 1
Ag2 Ag 0.6499 0.6884 0.8607 1
Sb1 Sb 0.5213 0.3420 0.6167 1
S1 S 0.1515 0.2827 0.5975 1
S2 S 0.4568 0.4303 0.9193 1
S3 S 0.6665 0.7533 0.1911 1
S4 S 0.8280 0.9192 0.6582 1
```


Structure and computed powder XRD pattern of Na3LaSi2GeSO12 (the PBE geometry in the Materials Project; copper Kα).
Peak positions follow from Bragg's law for the DFT cell and can differ from measured ones.

Main lines, in order of rising 2θ (10 to 90 degrees two-theta):
(hkl), d [Å], Position (°2θ), I/Imax
1 1 -1, 6.894, 12.8, 533
0 2 0, 4.910, 18.1, 314
2 0 -2, 4.841, 18.3, 902
1 1 1, 4.702, 18.9, 925
3 1 -1, 4.565, 19.4, 874
2 2 -1, 4.109, 21.6, 507
2 2 -2, 3.447, 25.8, 456
3 1 -3, 3.065, 29.1, 792
4 2 -2, 2.982, 30.0, 716
5 1 -1, 2.817, 31.8, 592
1 3 1, 2.794, 32.0, 1000
2 0 2, 2.678, 33.5, 393

Structure:
```
data_Na3LaSi2GeSO12
_symmetry_space_group_name_H-M 'C 1 c 1'
_symmetry_Int_Tables_number 9
_cell_length_a 15.5092
_cell_length_b 9.8192
_cell_length_c 9.6902
_cell_angle_alpha 90.00
_cell_angle_beta 126.24
_cell_angle_gamma 90.00
loop_
_symmetry_equiv_pos_as_xyz
'x,y,z'
'x,-y,z+1/2'
'x+1/2,y+1/2,z'
'x+1/2,-y+1/2,z+1/2'
loop_
_atom_site_label
_atom_site_type_symbol
_atom_site_fract_x
_atom_site_fract_y
_atom_site_fract_z
_atom_site_occupancy
Na1 Na 0.0000 0.0646 0.0000 1
Na2 Na 0.3763 0.0702 0.7170 1
Na3 Na 0.4451 0.2513 0.1459 1
La1 La 0.0920 0.2624 0.4790 1
Si1 Si 0.0275 0.3760 0.0606 1
Si2 Si 0.1856 0.0487 0.8737 1
Ge1 Ge 0.2724 0.1941 0.2318 1
S1 S 0.3461 0.4262 0.6656 1
O1 O 0.0136 0.3551 0.2100 1
O2 O 0.0192 0.4670 0.5056 1
O3 O 0.1086 0.1479 0.7141 1
O4 O 0.1239 0.0460 0.4228 1
O5 O 0.1432 0.2838 0.1195 1
O6 O 0.2471 0.3755 0.6372 1
O7 O 0.2623 0.0504 0.3391 1
O8 O 0.2793 0.1324 0.0597 1
O9 O 0.3526 0.4242 0.1831 1
O10 O 0.3544 0.3822 0.5293 1
O11 O 0.4236 0.2080 0.3773 1
O12 O 0.4293 0.3622 0.8359 1
```


Structure and computed powder XRD pattern of ErNbO4 (the PBE geometry in the Materials Project; copper Kα).
Peak positions follow from Bragg's law for the DFT cell and can differ from measured ones.

Main lines, in order of rising 2θ (10 to 90 degrees two-theta):
(hkl), d [Å], Position (°2θ), I/Imax
1 1 0, 3.822, 23.3, 246
1 1 -1, 3.170, 28.1, 1000
1 1 1, 3.033, 29.4, 900
0 2 0, 2.903, 30.8, 222
0 0 2, 2.649, 33.8, 259
0 2 1, 2.546, 35.3, 169
2 0 0, 2.538, 35.4, 180
0 2 2, 1.957, 46.4, 195
2 2 0, 1.911, 47.6, 188
2 0 -2, 1.892, 48.1, 168
1 3 0, 1.808, 50.5, 162
1 1 -3, 1.632, 56.4, 171

Structure:
```
data_ErNbO4
_symmetry_space_group_name_H-M 'P 1 2/c 1'
_symmetry_Int_Tables_number 13
_cell_length_a 5.0866
_cell_length_b 5.8057
_cell_length_c 5.3077
_cell_angle_alpha 90.00
_cell_angle_beta 93.54
_cell_angle_gamma 90.00
loop_
_symmetry_equiv_pos_as_xyz
'x,y,z'
'-x,-y,-z'
'-x,y,-z+1/2'
'x,-y,z+1/2'
loop_
_atom_site_label
_atom_site_type_symbol
_atom_site_fract_x
_atom_site_fract_y
_atom_site_fract_z
_atom_site_occupancy
Er1 Er 0.0000 0.2037 0.2500 1
Nb1 Nb 0.5000 0.3175 0.7500 1
O1 O 0.2412 0.1109 0.6051 1
O2 O 0.2842 0.4064 0.0405 1
```


Structure and computed powder XRD pattern of Ho3As (the PBE geometry in the Materials Project; copper Kα).
Peak positions follow from Bragg's law for the DFT cell and can differ from measured ones.

Main lines, in order of rising 2θ (10 to 90 degrees two-theta):
(hkl), d [Å], Position (°2θ), I/Imax
1 0 1, 4.099, 21.7, 65
1 1 2, 2.693, 33.3, 1000
0 0 4, 2.575, 34.8, 221
2 0 0, 2.234, 40.4, 295
2 0 4, 1.688, 54.4, 248
2 2 0, 1.580, 58.4, 100
1 1 6, 1.508, 61.5, 176
3 1 2, 1.363, 68.9, 247
2 2 4, 1.347, 69.8, 117
4 0 0, 1.117, 87.3, 33
2 0 8, 1.115, 87.4, 67
3 1 6, 1.091, 89.9, 128

Structure:
```
data_Ho3As
_symmetry_space_group_name_H-M 'I 4/m m m'
_symmetry_Int_Tables_number 139
_symmetry_space_group_name_Hall '-I 4 2'
_cell_length_a 4.4687
_cell_length_b 4.4687
_cell_length_c 10.2990
_cell_angle_alpha 90.00
_cell_angle_beta 90.00
_cell_angle_gamma 90.00
loop_
_atom_site_label
_atom_site_type_symbol
_atom_site_fract_x
_atom_site_fract_y
_atom_site_fract_z
_atom_site_occupancy
Ho1 Ho 0.0000 0.0000 0.0000 1
Ho2 Ho 0.0000 0.5000 0.2500 1
As1 As 0.0000 0.0000 0.5000 1
```


Structure and computed powder XRD pattern of CsBe2F5 (the PBE geometry in the Materials Project; copper Kα).
Peak positions follow from Bragg's law for the DFT cell and can differ from measured ones.

Main lines, in order of rising 2θ (10 to 90 degrees two-theta):
(hkl), d [Å], Position (°2θ), I/Imax
1 1 0, 5.700, 15.5, 193
1 1 1, 4.654, 19.1, 171
2 1 0, 3.605, 24.7, 1000
2 1 1, 3.291, 27.1, 865
3 1 0, 2.549, 35.2, 204
3 1 1, 2.430, 37.0, 533
2 2 2, 2.327, 38.7, 234
3 2 0, 2.236, 40.3, 304
3 2 1, 2.154, 41.9, 213
3 3 0, 1.900, 47.9, 212
4 2 1, 1.759, 52.0, 270
5 2 0, 1.497, 62.0, 350

Structure:
```
data_CsBe2F5
_symmetry_space_group_name_H-M 'P 41 3 2'
_symmetry_Int_Tables_number 213
_symmetry_space_group_name_Hall 'P 4bd 2ab 3'
_cell_length_a 8.0608
_cell_length_b 8.0608
_cell_length_c 8.0608
_cell_angle_alpha 90.00
_cell_angle_beta 90.00
_cell_angle_gamma 90.00
loop_
_atom_site_label
_atom_site_type_symbol
_atom_site_fract_x
_atom_site_fract_y
_atom_site_fract_z
_atom_site_occupancy
Cs1 Cs 0.1250 0.3750 0.6250 1
Be1 Be 0.0997 0.9003 0.4003 1
F1 F 0.0074 0.5074 0.9926 1
F2 F 0.0333 0.7167 0.3750 1
```


Structure and computed powder XRD pattern of Li2FeCl4 (the PBE geometry in the Materials Project; copper Kα).
Peak positions follow from Bragg's law for the DFT cell and can differ from measured ones.

Main lines, in order of rising 2θ (10 to 90 degrees two-theta):
(hkl), d [Å], Position (°2θ), I/Imax
1 0 1, 6.005, 14.8, 1000
0 0 2, 5.158, 17.2, 200
1 2 1, 3.159, 28.2, 287
0 2 2, 3.015, 29.6, 214
2 0 2, 3.002, 29.8, 207
2 2 0, 2.619, 34.2, 917
0 0 4, 2.579, 34.8, 428
3 2 1, 2.012, 45.0, 182
0 4 0, 1.858, 49.0, 162
4 0 0, 1.846, 49.4, 150
2 2 4, 1.838, 49.6, 596
4 4 4, 1.168, 82.6, 148

Structure:
```
data_Li2FeCl4
_symmetry_space_group_name_H-M 'I m m a'
_symmetry_Int_Tables_number 74
_symmetry_space_group_name_Hall '-I 2b 2'
_cell_length_a 7.3843
_cell_length_b 7.4301
_cell_length_c 10.3168
_cell_angle_alpha 90.00
_cell_angle_beta 90.00
_cell_angle_gamma 90.00
loop_
_atom_site_label
_atom_site_type_symbol
_atom_site_fract_x
_atom_site_fract_y
_atom_site_fract_z
_atom_site_occupancy
Li1 Li 0.0000 0.2500 0.1304 1
Li2 Li 0.2500 0.2500 0.7500 1
Fe1 Fe 0.0000 0.0000 0.5000 1
Cl1 Cl 0.0000 0.0114 0.7353 1
Cl2 Cl 0.2303 0.2500 0.5028 1
```


Q: Number 3 is which compound?
A: ErNbO4